Diffraction record for Er2As7Ru12. The powder diffraction line list is calculated, not measured: it uses a crystal structure in Alexandria, relaxed with PBE and λ = 1.5418 Å (Cu Kα).

```
data_Er2As7Ru12
_chemical_formula_sum 'Er2 As7 Ru12'
_cell_length_a 9.7505
_cell_length_b 9.7505
_cell_length_c 4.0129
_cell_angle_alpha 90.00
_cell_angle_beta 90.00
_cell_angle_gamma 120.00
_symmetry_space_group_name_H-M 'P -6'
_symmetry_Int_Tables_number 174
_symmetry_space_group_name_Hall 'P -6'
loop_
_atom_site_label
_atom_site_fract_x
_atom_site_fract_y
_atom_site_fract_z
Er1 0.0000 0.0000 0.0000
Er2 0.3333 0.6667 0.5000
As1 0.0865 0.6348 0.0000
As2 0.2634 0.0469 0.5000
As3 0.6667 0.3333 0.0000
Ru1 0.0542 0.7731 0.5000
Ru2 0.0937 0.3946 0.0000
Ru3 0.3913 0.2180 0.0000
Ru4 0.5491 0.1229 0.5000
```

The 10 most intense peaks (2θ = 10–90°), sorted by position:
d_spacing  2θ/deg  Rel. int.  hkl
2.498  36.0  100  1 2 1
2.342  38.4  8  3 1 0
2.304  39.1  11  3 0 1
2.111  42.8  11  4 0 0
2.023  44.8  19  3 1 1
2.006  45.2  24  0 0 2
1.843  49.5  22  4 1 0
1.745  52.4  11  2 3 1
1.357  69.2  16  4 1 2
1.234  77.4  10  1 2 3

Diffraction record for Dy5TlCo. The powder diffraction line list is calculated, not measured: it uses a crystal structure in Alexandria, relaxed with PBE and λ = 1.5418 Å (Cu Kα).

```
data_Dy5TlCo
_chemical_formula_sum 'Dy20 Tl4 Co4'
_cell_length_a 10.969
_cell_length_b 6.795
_cell_length_c 11.261
_cell_angle_alpha 90.00
_cell_angle_beta 110.78
_cell_angle_gamma 90.00
_symmetry_space_group_name_H-M 'C 1 2/c 1'
_symmetry_Int_Tables_number 15
_symmetry_space_group_name_Hall '-C 2yc'
loop_
_atom_site_label
_atom_site_fract_x
_atom_site_fract_y
_atom_site_fract_z
Dy1 0.000 0.013 0.250
Dy2 0.121 0.320 0.045
Dy3 0.216 0.184 0.636
Tl1 0.000 0.472 0.750
Co1 0.000 0.000 0.000
```

The 10 most intense peaks (2θ = 10–90°), sorted by position:
d_spacing  2θ/deg  Rel. int.  hkl
3.218  27.7  30  3 1 -1
3.156  28.3  43  2 0 2
2.880  31.0  71  2 2 -1
2.855  31.3  40  0 2 2
2.832  31.6  77  2 2 0
2.776  32.3  97  2 0 -4
2.752  32.5  54  1 1 3
2.727  32.8  53  2 2 -2
2.714  33.0  100  4 0 -2
1.524  60.8  29  6 0 -6

Diffraction record for LaGdCoAu. The powder diffraction line list is calculated, not measured: it uses a crystal structure in Alexandria, relaxed with PBE and λ = 1.5418 Å (Cu Kα).

```
data_LaGdCoAu
_chemical_formula_sum 'La4 Gd4 Co4 Au4'
_cell_length_a 7.203
_cell_length_b 7.203
_cell_length_c 7.203
_cell_angle_alpha 90.00
_cell_angle_beta 90.00
_cell_angle_gamma 90.00
_symmetry_space_group_name_H-M 'F -4 3 m'
_symmetry_Int_Tables_number 216
_symmetry_space_group_name_Hall 'F -4 2 3'
loop_
_atom_site_label
_atom_site_fract_x
_atom_site_fract_y
_atom_site_fract_z
La1 0.000 0.000 0.000
Gd1 0.000 0.000 0.500
Co1 0.250 0.250 0.250
Au1 0.250 0.250 0.750
```

The 10 most intense peaks (2θ = 10–90°), sorted by position:
d_spacing  2θ/deg  Rel. int.  hkl
4.158  21.4  14  1 1 1
2.547  35.2  100  2 2 0
2.172  41.6  8  3 1 1
1.801  50.7  18  4 0 0
1.652  55.6  4  3 3 1
1.470  63.2  36  4 2 2
1.386  67.6  3  5 1 1
1.273  74.5  11  4 4 0
1.217  78.6  3  5 3 1
1.139  85.2  16  6 2 0

Diffraction record for As2Pb8O13. The powder diffraction line list is calculated, not measured: it uses a crystal structure in Alexandria, relaxed with PBE and λ = 1.5418 Å (Cu Kα).

```
data_As2Pb8O13
_chemical_formula_sum 'As8 Pb32 O52'
_cell_length_a 11.073
_cell_length_b 10.762
_cell_length_c 15.028
_cell_angle_alpha 90.00
_cell_angle_beta 97.72
_cell_angle_gamma 90.00
_symmetry_space_group_name_H-M 'C 1 2/m 1'
_symmetry_Int_Tables_number 12
_symmetry_space_group_name_Hall '-C 2y'
loop_
_atom_site_label
_atom_site_fract_x
_atom_site_fract_y
_atom_site_fract_z
As1 0.000 0.249 0.000
As2 0.162 0.500 0.596
Pb1 0.066 0.000 0.223
Pb2 0.072 0.500 0.195
Pb3 0.078 0.258 0.400
Pb4 0.182 0.000 0.619
Pb5 0.193 0.229 0.796
Pb6 0.232 0.000 0.982
O1 0.036 0.140 0.708
O2 0.074 0.155 0.930
O3 0.104 0.368 0.642
O4 0.106 0.339 0.066
O5 0.138 0.500 0.480
O6 0.181 0.360 0.303
O7 0.182 0.000 0.371
O8 0.229 0.000 0.834
```

The 10 most intense peaks (2θ = 10–90°), sorted by position:
d_spacing  2θ/deg  Rel. int.  hkl
3.290  27.1  99  2 2 2
3.187  28.0  100  2 2 -3
2.978  30.0  35  0 0 5
2.764  32.4  33  4 0 -1
2.690  33.3  29  0 4 0
1.996  45.4  27  0 4 5
1.977  45.9  13  4 0 -6
1.928  47.1  23  4 4 -1
1.741  52.6  15  2 2 -8
1.646  55.8  20  2 6 2